Calculated X-ray powder pattern
Compound: Nd3WCl3O6
Radiation: Cu Ka
Structure: the PBE+U geometry in Alexandria
Peak positions follow from Bragg's law for the DFT cell and can differ from measured ones.

Peak list (6 most intense, 10 to 90 degrees two-theta, sorted by position)
h k l  Position (°2θ)  Rel. int.
1 0 0  10.90  55
1 1 1  25.13  55
2 0 1  27.46  58
0 0 2  33.10  49
2 1 1  33.57  100
2 1 2  44.64  46

Crystal structure
```
26
Lattice="9.3754 0.0000 0.0000 -4.6877 8.1193 0.0000 0.0000 0.0000 5.4128" Properties=species:S:1:pos:R:3 pbc="T T T"
Nd -1.0518 3.2850 1.3532
Nd -1.3169 7.3877 1.3532
Nd 2.3190 2.5534 4.0596
Nd 2.3687 5.5659 1.3532
Nd 6.0046 0.7316 4.0596
Nd 5.7395 4.8343 4.0596
W 0.0000 5.4129 4.0596
W 4.6877 2.7064 1.3532
Cl -0.6743 1.9568 4.0596
Cl -2.6559 7.7249 4.0596
Cl 1.3575 1.5623 1.3532
Cl 3.3302 6.5570 4.0596
Cl 7.3436 0.3944 1.3532
Cl 5.3620 6.1626 1.3532
O -1.4863 5.1618 2.8002
O -1.4863 5.1618 5.3190
O 0.9606 4.2512 2.8002
O 0.9606 4.2512 5.3190
O 0.5257 6.8256 2.8002
O 0.5257 6.8256 5.3190
O 4.1620 1.2937 0.0938
O 4.1620 1.2937 2.6126
O 3.7271 3.8681 0.0938
O 3.7271 3.8681 2.6126
O 6.1740 2.9575 0.0938
O 6.1740 2.9575 2.6126
```